Entry 1:
This entry pairs a crystal structure of Tb4Tl2Pt with its simulated powder XRD pattern. Radiation: Cu Kα, 1.54184 Å. Structure: a GGA-PBE-relaxed structure.

Top 8 peaks for 10 to 80 degrees two-theta, most intense first:
2theta, d/Å, intensity
31.8, 2.817, 100.0
27.8, 3.206, 86.1
37.6, 2.395, 69.6
40.0, 2.252, 65.4
34.6, 2.595, 63.5
34.1, 2.632, 61.3
37.8, 2.381, 48.4
29.5, 3.030, 47.4

Cell: 6.6547 3.7525 9.0328 Å, 90.00 110.77 90.00°
Sites, in units of the cell vectors:
1 Tb 0.1127 0.0000 0.2513
2 Tb 0.3198 0.5000 0.6492
3 Tb 0.6802 0.5000 0.3508
4 Tb 0.8873 0.0000 0.7487
5 Tl 0.2662 0.5000 0.0009
6 Tl 0.7338 0.5000 0.9991
7 Pt 0.5000 0.0000 0.5000

Entry 2:
This entry pairs a crystal structure of TbTmPt with its simulated powder XRD pattern. Radiation: Cu Kα, 1.54184 Å. Structure: a GGA-PBE-relaxed structure.

Top 8 peaks for 10 to 80 degrees two-theta, most intense first:
2theta, d/Å, intensity
36.2, 2.481, 100.0
32.7, 2.735, 72.4
35.3, 2.539, 69.4
30.2, 2.959, 52.1
48.0, 1.896, 44.1
53.6, 1.708, 28.2
19.8, 4.477, 24.5
52.3, 1.750, 23.0

Cell: 6.2232 6.2232 6.8291 Å, 90.00 90.00 144.54°
Sites, in units of the cell vectors:
1 Tb 0.2120 0.7880 0.7500
2 Tb 0.7880 0.2120 0.2500
3 Tm 0.5000 0.5000 0.0000
4 Tm 0.5000 0.5000 0.5000
5 Pt 0.1119 0.8881 0.2500
6 Pt 0.8881 0.1119 0.7500